Simulated XRD peak list of ThSiNi6B for Cu Kα (λ = 1.5418 Å), from a crystal structure in Alexandria, relaxed with PBE.

Crystal structure
```
data_ThSiNi6B
_chemical_formula_sum 'Th4 Si4 Ni24 B4'
_symmetry_space_group_name_H-M 'I m m a'
_symmetry_Int_Tables_number 74
_symmetry_space_group_name_Hall '-I 2b 2'
_cell_length_a 6.361
_cell_length_b 7.661
_cell_length_c 10.279
_cell_angle_alpha 90.00
_cell_angle_beta 90.00
_cell_angle_gamma 90.00
loop_
_atom_site_label
_atom_site_type_symbol
_atom_site_fract_x
_atom_site_fract_y
_atom_site_fract_z
Th1 Th 0.000 0.250 0.173
Si1 Si 0.250 0.250 0.750
Ni1 Ni 0.000 0.250 0.456
Ni2 Ni 0.000 0.250 0.903
Ni3 Ni 0.224 0.015 0.623
B1 B 0.000 0.000 0.500
```

Principal peaks in the range 2θ = 5–70°, by angle:
2θ = 14.42°, d 6.143, I = 48; 2θ = 28.55°, d 3.126, I = 22; 2θ = 29.61°, d 3.016, I = 38; 2θ = 31.68°, d 2.824, I = 47; 2θ = 36.73°, d 2.447, I = 100; 2θ = 37.97°, d 2.370, I = 53; 2θ = 39.61°, d 2.275, I = 49; 2θ = 47.47°, d 1.915, I = 30; 2θ = 51.58°, d 1.772, I = 34; 2θ = 52.53°, d 1.742, I = 22


Simulated XRD peak list of TmCd8Ag6 for Cu Kα (λ = 1.5418 Å), from a crystal structure in Alexandria, relaxed with PBE.

Crystal structure
```
data_TmCd8Ag6
_chemical_formula_sum 'Tm3 Cd24 Ag18'
_symmetry_space_group_name_H-M 'R -3'
_symmetry_Int_Tables_number 148
_symmetry_space_group_name_Hall '-R 3'
_cell_length_a 8.1582
_cell_length_b 8.1582
_cell_length_c 17.3211
_cell_angle_alpha 90.00
_cell_angle_beta 90.00
_cell_angle_gamma 120.00
loop_
_atom_site_label
_atom_site_type_symbol
_atom_site_fract_x
_atom_site_fract_y
_atom_site_fract_z
Tm1 Tm 0.0000 0.0000 0.0000
Cd1 Cd 0.0000 0.0000 0.3790
Cd2 Cd 0.9999 0.3194 0.8760
Ag1 Ag 0.0006 0.6934 0.2885
```

Principal peaks in the range 2θ = 5–70°, by angle:
2θ = 15.35°, d 5.774, I = 5; 2θ = 21.79°, d 4.079, I = 6; 2θ = 26.76°, d 3.332, I = 10; 2θ = 27.26°, d 3.271, I = 3; 2θ = 36.32°, d 2.473, I = 5; 2θ = 38.20°, d 2.356, I = 100; 2θ = 42.75°, d 2.115, I = 4; 2θ = 55.14°, d 1.666, I = 14; 2θ = 63.35°, d 1.468, I = 3; 2θ = 69.06°, d 1.360, I = 22


Simulated XRD peak list of LiPmCd6 for Cu Kα (λ = 1.5418 Å), from a crystal structure in Alexandria, relaxed with PBE.

Crystal structure
```
data_LiPmCd6
_chemical_formula_sum 'Li1 Pm1 Cd6'
_symmetry_space_group_name_H-M 'P m m 2'
_symmetry_Int_Tables_number 25
_symmetry_space_group_name_Hall 'P 2 -2'
_cell_length_a 4.846
_cell_length_b 7.658
_cell_length_c 4.846
_cell_angle_alpha 90.00
_cell_angle_beta 90.00
_cell_angle_gamma 90.00
loop_
_atom_site_label
_atom_site_type_symbol
_atom_site_fract_x
_atom_site_fract_y
_atom_site_fract_z
Li1 Li 0.000 0.000 0.000
Pm1 Pm 0.500 0.500 0.503
Cd1 Cd 0.000 0.225 0.501
Cd2 Cd 0.000 0.500 0.002
Cd3 Cd 0.500 0.000 0.504
Cd4 Cd 0.500 0.225 0.003
```

Principal peaks in the range 2θ = 5–70°, by angle:
2θ = 18.31°, d 4.846, I = 7; 2θ = 28.54°, d 3.128, I = 11; 2θ = 29.74°, d 3.004, I = 4; 2θ = 35.15°, d 2.553, I = 100; 2θ = 37.10°, d 2.423, I = 43; 2θ = 47.49°, d 1.914, I = 9; 2θ = 52.04°, d 1.757, I = 5; 2θ = 53.48°, d 1.713, I = 15; 2θ = 61.75°, d 1.502, I = 18; 2θ = 65.62°, d 1.423, I = 32


Question: Which formula does entry 2 have?
Answer: TmCd8Ag6